1.
Theoretical powder diffraction line list
Compound: Ni6OF11
Radiation: copper Kα
Structure: a structure optimized by DFT (PBE+U)
Intensities are scaled so that the largest is 100.

```
data_Ni6OF11
_chemical_formula_sum 'Ni12 O2 F22'
_symmetry_space_group_name_H-M 'A m m 2'
_symmetry_Int_Tables_number 38
_cell_length_a 9.3344
_cell_length_b 6.6660
_cell_length_c 6.6159
_cell_angle_alpha 90.00
_cell_angle_beta 90.00
_cell_angle_gamma 90.00
loop_
_symmetry_equiv_pos_as_xyz
'x,y,z'
'-x,-y,z'
'-x,y,z'
'x,-y,z'
'x,y+1/2,z+1/2'
'-x,-y+1/2,z+1/2'
'-x,y+1/2,z+1/2'
'x,-y+1/2,z+1/2'
loop_
_atom_site_label
_atom_site_type_symbol
_atom_site_fract_x
_atom_site_fract_y
_atom_site_fract_z
Ni1 Ni 0.0000 0.0000 0.0000
Ni2 Ni 0.1627 0.0000 0.5187
Ni3 Ni 0.3333 0.0000 0.0161
Ni4 Ni 0.5000 0.0000 0.5134
O1 O 0.0000 0.0000 0.7063
F1 F 0.0000 0.0000 0.3076
F2 F 0.1666 0.1964 0.0123
F3 F 0.3300 0.0000 0.3212
F4 F 0.3330 0.0000 0.7112
F5 F 0.5000 0.1964 0.0144
```

Peak list (10 most intense, 15° ≤ 2θ ≤ 90°, by angle)
d/Å, 2θ/deg, I/Imax, (hkl)
3.333, 26.7, 87, 0 2 0
3.308, 27.0, 87, 0 0 2
2.594, 34.6, 100, 3 1 1
2.348, 38.3, 17, 0 2 2
1.744, 52.5, 58, 3 3 1
1.737, 52.7, 56, 3 1 3
1.667, 55.1, 17, 0 4 0
1.654, 55.6, 16, 0 0 4
1.556, 59.4, 17, 6 0 0
1.398, 66.9, 40, 3 3 3

2.
Theoretical powder diffraction line list
Compound: Ni3OF5
Radiation: copper Kα
Structure: a structure optimized by DFT (PBE+U)
Intensities are scaled so that the largest is 100.

```
data_Ni3OF5
_chemical_formula_sum 'Ni6 O2 F10'
_symmetry_space_group_name_H-M 'P 1'
_symmetry_Int_Tables_number 1
_cell_length_a 4.7021
_cell_length_b 5.6316
_cell_length_c 7.7739
_cell_angle_alpha 86.16
_cell_angle_beta 89.25
_cell_angle_gamma 88.98
loop_
_symmetry_equiv_pos_as_xyz
'x,y,z'
loop_
_atom_site_label
_atom_site_type_symbol
_atom_site_fract_x
_atom_site_fract_y
_atom_site_fract_z
Ni1 Ni 0.0000 0.0000 0.0000
Ni2 Ni 0.0014 0.3316 0.6645
Ni3 Ni 0.4800 0.8444 0.6726
Ni4 Ni 0.4872 0.1710 0.3394
Ni5 Ni 0.4892 0.5098 0.9988
Ni6 Ni 0.9896 0.6705 0.3350
O1 O 0.2955 0.1355 0.5665
O2 O 0.2961 0.8008 0.9011
F1 F 0.1879 0.3033 0.9008
F2 F 0.1880 0.9684 0.2347
F3 F 0.1892 0.6351 0.5663
F4 F 0.2955 0.4691 0.2333
F5 F 0.6873 0.2056 0.1024
F6 F 0.6885 0.8716 0.4391
F7 F 0.6938 0.5384 0.7650
F8 F 0.7947 0.0401 0.7701
F9 F 0.7954 0.3723 0.4353
F10 F 0.7948 0.7067 0.1023
```

Peak list (10 most intense, 15° ≤ 2θ ≤ 90°, by angle)
d/Å, 2θ/deg, I/Imax, (hkl)
3.360, 26.5, 87, 1 1 1
3.289, 27.1, 86, -1 1 1
2.586, 34.7, 100, 0 2 -1
2.351, 38.3, 17, 2 0 0
1.750, 52.3, 59, 1 3 0
1.730, 52.9, 27, 1 -3 0
1.729, 53.0, 27, -1 1 4
1.680, 54.6, 17, 2 2 2
1.548, 59.7, 16, 0 2 -4
1.398, 66.9, 39, 0 4 1

3.
Theoretical powder diffraction line list
Compound: Ni5P4O16F2
Radiation: copper Kα
Structure: a structure optimized by DFT (PBE+U)
Intensities are scaled so that the largest is 100.

```
data_Ni5P4O16F2
_chemical_formula_sum 'Ni20 P16 O64 F8'
_symmetry_space_group_name_H-M 'A e a 2'
_symmetry_Int_Tables_number 41
_cell_length_a 9.8465
_cell_length_b 18.2981
_cell_length_c 8.4710
_cell_angle_alpha 90.00
_cell_angle_beta 90.00
_cell_angle_gamma 90.00
loop_
_symmetry_equiv_pos_as_xyz
'x,y,z'
'-x,-y,z'
'-x+1/2,y+1/2,z'
'x+1/2,-y+1/2,z'
'x,y+1/2,z+1/2'
'-x,-y+1/2,z+1/2'
'-x+1/2,y,z+1/2'
'x+1/2,-y,z+1/2'
loop_
_atom_site_label
_atom_site_type_symbol
_atom_site_fract_x
_atom_site_fract_y
_atom_site_fract_z
Ni1 Ni 0.0000 0.0000 0.0000
Ni2 Ni 0.0644 0.1721 0.2093
Ni3 Ni 0.0791 0.1866 0.8409
P1 P 0.1490 0.2244 0.5362
P2 P 0.2492 0.0297 0.7586
O1 O 0.0200 0.3913 0.8671
O2 O 0.0729 0.1514 0.5789
O3 O 0.0960 0.2542 0.3759
O4 O 0.1147 0.2736 0.6808
O5 O 0.1385 0.4860 0.3295
O6 O 0.1491 0.4916 0.6606
O7 O 0.1936 0.2161 0.0293
O8 O 0.2410 0.1106 0.2878
F1 F 0.0209 0.1109 0.0042
```

Peak list (10 most intense, 15° ≤ 2θ ≤ 90°, by angle)
d/Å, 2θ/deg, I/Imax, (hkl)
4.923, 18.0, 43, 2 0 0
4.575, 19.4, 22, 0 4 0
4.148, 21.4, 31, 1 4 0
3.180, 28.1, 39, 1 5 1
3.050, 29.3, 26, 0 6 0
3.030, 29.5, 100, 2 2 2
2.667, 33.6, 54, 3 4 0
2.479, 36.2, 67, 1 3 3
2.257, 40.0, 30, 3 4 2
2.180, 41.4, 37, 1 5 3

4.
Theoretical powder diffraction line list
Compound: U2Ni2O11F12
Radiation: copper Kα
Structure: a structure optimized by DFT (PBE+U)
Intensities are scaled so that the largest is 100.

```
data_U2Ni2O11F12
_chemical_formula_sum 'U8 Ni8 O44 F48'
_symmetry_space_group_name_H-M 'C 1 2/c 1'
_symmetry_Int_Tables_number 15
_cell_length_a 15.0256
_cell_length_b 14.7256
_cell_length_c 7.9695
_cell_angle_alpha 90.00
_cell_angle_beta 91.29
_cell_angle_gamma 90.00
loop_
_symmetry_equiv_pos_as_xyz
'x,y,z'
'-x,-y,-z'
'-x,y,-z+1/2'
'x,-y,z+1/2'
'x+1/2,y+1/2,z'
'-x+1/2,-y+1/2,-z'
'-x+1/2,y+1/2,-z+1/2'
'x+1/2,-y+1/2,z+1/2'
loop_
_atom_site_label
_atom_site_type_symbol
_atom_site_fract_x
_atom_site_fract_y
_atom_site_fract_z
U1 U 0.0086 0.1348 0.0006
Ni1 Ni 0.2269 0.1764 0.7388
O1 O 0.0000 0.4308 0.7500
O2 O 0.0841 0.4453 0.9528
O3 O 0.1383 0.3835 0.9688
O4 O 0.1801 0.3841 0.3699
O5 O 0.2297 0.4490 0.3148
O6 O 0.2452 0.2120 0.2387
F1 F 0.0000 0.0597 0.7500
F2 F 0.0000 0.2186 0.7500
F3 F 0.0018 0.2668 0.0699
F4 F 0.0796 0.1269 0.2435
F5 F 0.0814 0.0035 0.0000
F6 F 0.1335 0.1600 0.5605
F7 F 0.1442 0.1656 0.9192
```

Peak list (10 most intense, 15° ≤ 2θ ≤ 90°, by angle)
d/Å, 2θ/deg, I/Imax, (hkl)
4.741, 18.7, 52, 3 1 0
4.666, 19.0, 100, 1 3 0
3.751, 23.7, 88, 4 0 0
3.681, 24.2, 40, 0 4 0
3.553, 25.1, 42, 2 0 -2
3.487, 25.5, 60, 2 0 2
3.306, 27.0, 28, 2 4 0
3.040, 29.4, 22, 1 3 -2
3.019, 29.6, 34, 3 1 2
2.704, 33.1, 23, 0 4 2